[1]
Calculated X-ray diffraction stick pattern of Pm2Er5Sc4 for copper Kα, from a GGA-PBE-relaxed structure.
Lines closer than 0.1° are merged.

Main lines, by angle (2θ = 15–90°):
(2 0 0), 2θ 17.3, intensity 40; (2 0 -1), 2θ 17.4, intensity 29; (1 1 -2), 2θ 23.8, intensity 41; (2 2 0), 2θ 30.4, intensity 43; (3 1 -2), 2θ 31.0, intensity 35; (0 0 3), 2θ 31.7, intensity 45; (0 2 2), 2θ 32.7, intensity 65; (4 0 -1), 2θ 33.4, intensity 100; (2 2 1), 2θ 33.9, intensity 90; (2 2 -2), 2θ 34.1, intensity 92

Structure:
```
data_Pm2Er5Sc4
_space_group_name_H-M_alt 'C 1 2/m 1'
_space_group_IT_number 12
_cell_length_a 10.7368
_cell_length_b 7.1841
_cell_length_c 8.8496
_cell_angle_alpha 90.00
_cell_angle_beta 106.93
_cell_angle_gamma 90.00
loop_
_space_group_symop_operation_xyz
'x,y,z'
'-x,-y,-z'
'-x,y,-z'
'x,-y,z'
'x+1/2,y+1/2,z'
'-x+1/2,-y+1/2,-z'
'-x+1/2,y+1/2,-z'
'x+1/2,-y+1/2,z'
loop_
_atom_site_label
_atom_site_fract_x
_atom_site_fract_y
_atom_site_fract_z
Pm1 0.1496 0.0000 0.1261
Er1 0.0000 0.0000 0.5000
Er2 0.0671 0.2834 0.7815
Sc1 0.1731 0.5000 0.4927
Sc2 0.1736 0.5000 0.1302
```

***

[2]
Calculated X-ray diffraction stick pattern of Pm4ErSc4 for copper Kα, from a GGA-PBE-relaxed structure.
Lines closer than 0.1° are merged.

Main lines, by angle (2θ = 15–90°):
(2 0 0), 2θ 17.1, intensity 10; (1 0 1), 2θ 20.1, intensity 19; (3 1 0), 2θ 27.2, intensity 9; (3 0 1), 2θ 31.7, intensity 100; (0 0 2), 2θ 36.7, intensity 50; (3 3 2), 2θ 52.9, intensity 34; (3 0 3), 2θ 63.0, intensity 40; (6 0 2), 2θ 66.2, intensity 11; (6 3 3), 2θ 86.7, intensity 16; (6 6 2), 2θ 89.6, intensity 10

Structure:
```
data_Pm4ErSc4
_space_group_name_H-M_alt 'I 4/m m m'
_space_group_IT_number 139
_space_group_name_Hall '-I 4 2'
_cell_length_a 10.3850
_cell_length_b 10.3850
_cell_length_c 4.8889
_cell_angle_alpha 90.00
_cell_angle_beta 90.00
_cell_angle_gamma 90.00
loop_
_atom_site_label
_atom_site_fract_x
_atom_site_fract_y
_atom_site_fract_z
Pm1 0.0000 0.3266 0.0000
Er1 0.0000 0.0000 0.0000
Sc1 0.1652 0.1652 0.5000
```

***

[3]
Calculated X-ray diffraction stick pattern of Pm3Er3Sc5 for copper Kα, from a GGA-PBE-relaxed structure.
Lines closer than 0.1° are merged.

Main lines, by angle (2θ = 15–90°):
(1 1 0), 2θ 20.0, intensity 32; (1 1 1), 2θ 25.7, intensity 100; (0 0 2), 2θ 32.3, intensity 28; (2 1 1), 2θ 34.8, intensity 29; (3 0 0), 2θ 35.0, intensity 38; (2 2 1), 2θ 43.9, intensity 25; (3 1 1), 2θ 45.6, intensity 15; (3 0 2), 2θ 48.4, intensity 30; (1 1 3), 2θ 53.7, intensity 14; (4 1 1), 2θ 57.3, intensity 13

Structure:
```
data_Pm3Er3Sc5
_space_group_name_H-M_alt 'P -6 2 m'
_space_group_IT_number 189
_space_group_name_Hall 'P -6 -2'
_cell_length_a 8.8835
_cell_length_b 8.8835
_cell_length_c 5.5411
_cell_angle_alpha 90.00
_cell_angle_beta 90.00
_cell_angle_gamma 120.00
loop_
_atom_site_label
_atom_site_fract_x
_atom_site_fract_y
_atom_site_fract_z
Pm1 0.0000 0.6509 0.0000
Er1 0.0000 0.3887 0.5000
Sc1 0.0000 0.7636 0.5000
Sc2 0.3333 0.6667 0.5000
```

***

[4]
Calculated X-ray diffraction stick pattern of Pm3ErSc7 for copper Kα, from a GGA-PBE-relaxed structure.
Lines closer than 0.1° are merged.

Main lines, by angle (2θ = 15–90°):
(0 0 2), 2θ 16.4, intensity 45; (1 2 1), 2θ 24.9, intensity 100; (2 0 0), 2θ 32.5, intensity 46; (0 0 4), 2θ 33.2, intensity 34; (0 4 0), 2θ 34.2, intensity 20; (1 2 3), 2θ 34.4, intensity 85; (1 3 2), 2θ 34.6, intensity 34; (2 0 4), 2θ 47.2, intensity 25; (3 2 3), 2θ 59.2, intensity 17; (1 2 7), 2θ 65.4, intensity 16

Structure:
```
data_Pm3ErSc7
_space_group_name_H-M_alt 'I m m m'
_space_group_IT_number 71
_space_group_name_Hall '-I 2 2'
_cell_length_a 5.5025
_cell_length_b 10.4960
_cell_length_c 10.7813
_cell_angle_alpha 90.00
_cell_angle_beta 90.00
_cell_angle_gamma 90.00
loop_
_atom_site_label
_atom_site_fract_x
_atom_site_fract_y
_atom_site_fract_z
Pm1 0.0000 0.0000 0.0000
Pm2 0.0000 0.2841 0.5000
Er1 0.0000 0.5000 0.0000
Sc1 0.0000 0.0000 0.5000
Sc2 0.0000 0.1909 0.2177
Sc3 0.0000 0.5000 0.2919
```

***

[5]
Calculated X-ray diffraction stick pattern of Pm2Sm5ErSc for copper Kα, from a GGA-PBE-relaxed structure.
Lines closer than 0.1° are merged.

Main lines, by angle (2θ = 15–90°):
(1 3 2), 2θ 27.1, intensity 36; (1 1 3), 2θ 31.5, intensity 11; (1 5 2), 2θ 31.7, intensity 100; (0 8 0), 2θ 32.6, intensity 15; (2 0 0), 2θ 33.3, intensity 33; (0 0 4), 2θ 35.4, intensity 16; (2 8 0), 2θ 47.3, intensity 10; (2 0 4), 2θ 49.4, intensity 14; (3 5 2), 2θ 58.5, intensity 19; (1 13 2), 2θ 60.3, intensity 13

Structure:
```
data_Pm2Sm5ErSc
_space_group_name_H-M_alt 'C m c 21'
_space_group_IT_number 36
_cell_length_a 5.3778
_cell_length_b 21.9565
_cell_length_c 10.1355
_cell_angle_alpha 90.00
_cell_angle_beta 90.00
_cell_angle_gamma 90.00
loop_
_space_group_symop_operation_xyz
'x,y,z'
'-x,-y,z+1/2'
'-x,y,z'
'x,-y,z+1/2'
'x+1/2,y+1/2,z'
'-x+1/2,-y+1/2,z+1/2'
'-x+1/2,y+1/2,z'
'x+1/2,-y+1/2,z+1/2'
loop_
_atom_site_label
_atom_site_fract_x
_atom_site_fract_y
_atom_site_fract_z
Pm1 0.0000 0.1159 0.0000
Pm2 0.0000 0.1164 0.4952
Sm1 0.0000 0.0005 0.2476
Sm2 0.0000 0.2777 0.0608
Sm3 0.0000 0.2783 0.4359
Sm4 0.0000 0.3727 0.7477
Sm5 0.0000 0.5001 0.4975
Er1 0.0000 0.3979 0.2476
Sc1 0.0000 0.2131 0.7482
```

***

[6]
Calculated X-ray diffraction stick pattern of Tb2PmEr2Sc2 for copper Kα, from a GGA-PBE-relaxed structure.
Lines closer than 0.1° are merged.

Main lines, by angle (2θ = 15–90°):
(3 1 0), 2θ 27.7, intensity 12; (3 1 1), 2θ 32.1, intensity 100; (0 2 0), 2θ 32.3, intensity 36; (1 1 -2), 2θ 32.7, intensity 69; (4 2 -1), 2θ 46.3, intensity 24; (2 0 3), 2θ 46.7, intensity 11; (3 3 1), 2θ 57.5, intensity 15; (1 3 -2), 2θ 57.9, intensity 26; (5 1 -3), 2θ 58.1, intensity 11; (4 4 -1), 2θ 77.0, intensity 11

Structure:
```
data_Tb2PmEr2Sc2
_space_group_name_H-M_alt 'C 1 2/m 1'
_space_group_IT_number 12
_cell_length_a 11.8979
_cell_length_b 5.5364
_cell_length_c 6.3969
_cell_angle_alpha 90.00
_cell_angle_beta 95.12
_cell_angle_gamma 90.00
loop_
_space_group_symop_operation_xyz
'x,y,z'
'-x,-y,-z'
'-x,y,-z'
'x,-y,z'
'x+1/2,y+1/2,z'
'-x+1/2,-y+1/2,-z'
'-x+1/2,y+1/2,-z'
'x+1/2,-y+1/2,z'
loop_
_atom_site_label
_atom_site_fract_x
_atom_site_fract_y
_atom_site_fract_z
Tb1 0.0538 0.0000 0.2718
Pm1 0.0000 0.5000 0.0000
Er1 0.1586 0.5000 0.5662
Sc1 0.2191 0.0000 0.8876
```

***

[7]
Calculated X-ray diffraction stick pattern of Tb5Pm2ErSc for copper Kα, from a GGA-PBE-relaxed structure.
Lines closer than 0.1° are merged.

Main lines, by angle (2θ = 15–90°):
(1 3 2), 2θ 27.0, intensity 26; (0 6 1), 2θ 27.9, intensity 14; (1 1 3), 2θ 30.8, intensity 35; (2 0 0), 2θ 32.3, intensity 44; (1 5 2), 2θ 32.4, intensity 100; (0 0 4), 2θ 34.6, intensity 12; (1 7 1), 2θ 36.2, intensity 11; (0 6 5), 2θ 51.8, intensity 11; (3 5 2), 2θ 57.7, intensity 20; (2 6 5), 2θ 62.4, intensity 13

Structure:
```
data_Tb5Pm2ErSc
_space_group_name_H-M_alt 'C m c 21'
_space_group_IT_number 36
_cell_length_a 5.5407
_cell_length_b 20.1567
_cell_length_c 10.3619
_cell_angle_alpha 90.00
_cell_angle_beta 90.00
_cell_angle_gamma 90.00
loop_
_space_group_symop_operation_xyz
'x,y,z'
'-x,-y,z+1/2'
'-x,y,z'
'x,-y,z+1/2'
'x+1/2,y+1/2,z'
'-x+1/2,-y+1/2,z+1/2'
'-x+1/2,y+1/2,z'
'x+1/2,-y+1/2,z+1/2'
loop_
_atom_site_label
_atom_site_fract_x
_atom_site_fract_y
_atom_site_fract_z
Tb1 0.0000 0.0163 0.0000
Tb2 0.0000 0.1273 0.7223
Tb3 0.0000 0.2013 0.0392
Tb4 0.0000 0.2262 0.4204
Tb5 0.0000 0.4844 0.7272
Pm1 0.0000 0.3847 0.0061
Pm2 0.0000 0.3872 0.4293
Er1 0.0000 0.0939 0.2825
Sc1 0.0000 0.3057 0.7268
```

***

[8]
Calculated X-ray diffraction stick pattern of Pm3ErSc3Te8 for copper Kα, from a GGA-PBE-relaxed structure.
Lines closer than 0.1° are merged.

Main lines, by angle (2θ = 15–90°):
(1 1 3), 2θ 24.3, intensity 10; (0 2 4), 2θ 29.4, intensity 100; (2 1 1), 2θ 32.2, intensity 7; (2 0 8), 2θ 41.8, intensity 37; (2 2 0), 2θ 42.2, intensity 37; (4 0 4), 2θ 52.2, intensity 19; (0 4 8), 2θ 60.9, intensity 12; (2 2 12), 2θ 68.8, intensity 16; (2 4 4), 2θ 69.3, intensity 16; (4 2 8), 2θ 76.9, intensity 11

Structure:
```
data_Pm3ErSc3Te8
_space_group_name_H-M_alt 'R -3 m'
_space_group_IT_number 166
_space_group_name_Hall '-R 3 2"'
_cell_length_a 8.5694
_cell_length_b 8.5694
_cell_length_c 21.2508
_cell_angle_alpha 90.00
_cell_angle_beta 90.00
_cell_angle_gamma 120.00
loop_
_atom_site_label
_atom_site_fract_x
_atom_site_fract_y
_atom_site_fract_z
Pm1 0.0000 0.5000 0.0000
Er1 0.0000 0.0000 0.5000
Sc1 0.0000 0.5000 0.5000
Te1 0.0000 0.0000 0.2423
Te2 0.0162 0.5081 0.7536
```

***

[9]
Calculated X-ray diffraction stick pattern of Pm4ErTm2Sc for copper Kα, from a GGA-PBE-relaxed structure.
Lines closer than 0.1° are merged.

Main lines, by angle (2θ = 15–90°):
(1 1 1), 2θ 30.9, intensity 100; (0 0 4), 2θ 31.3, intensity 32; (1 1 -3), 2θ 35.9, intensity 45; (2 0 2), 2θ 36.0, intensity 22; (3 1 -1), 2θ 51.5, intensity 16; (2 0 -6), 2θ 52.0, intensity 23; (2 2 -2), 2θ 61.1, intensity 10; (4 0 0), 2θ 61.3, intensity 23; (3 1 3), 2θ 61.5, intensity 9; (1 1 -7), 2θ 61.9, intensity 9

Structure:
```
data_Pm4ErTm2Sc
_space_group_name_H-M_alt 'P 1 2/m 1'
_space_group_IT_number 10
_cell_length_a 6.1470
_cell_length_b 3.5610
_cell_length_c 11.6276
_cell_angle_alpha 90.00
_cell_angle_beta 100.30
_cell_angle_gamma 90.00
loop_
_space_group_symop_operation_xyz
'x,y,z'
'-x,-y,-z'
'-x,y,-z'
'x,-y,z'
loop_
_atom_site_label
_atom_site_fract_x
_atom_site_fract_y
_atom_site_fract_z
Pm1 0.2461 0.0000 0.2443
Pm2 0.2503 0.5000 0.7523
Er1 0.0000 0.0000 0.5000
Tm1 0.5000 0.0000 0.0000
Tm2 0.5000 0.5000 0.5000
Sc1 0.0000 0.5000 0.0000
```

***

[10]
Calculated X-ray diffraction stick pattern of PmEr6Tm2Sc3 for copper Kα, from a GGA-PBE-relaxed structure.
Lines closer than 0.1° are merged.

Main lines, by angle (2θ = 15–90°):
(1 3 1), 2θ 31.7, intensity 100; (0 0 4), 2θ 31.9, intensity 32; (2 0 2), 2θ 36.8, intensity 66; (0 6 0), 2θ 52.9, intensity 24; (1 3 5), 2θ 53.1, intensity 22; (2 6 -2), 2θ 63.0, intensity 18; (0 6 4), 2θ 63.1, intensity 18; (2 0 6), 2θ 63.3, intensity 13; (2 6 2), 2θ 66.1, intensity 12; (4 6 0), 2θ 86.7, intensity 12

Structure:
```
data_PmEr6Tm2Sc3
_space_group_name_H-M_alt 'C 1 2/m 1'
_space_group_IT_number 12
_cell_length_a 6.0007
_cell_length_b 10.3854
_cell_length_c 11.4076
_cell_angle_alpha 90.00
_cell_angle_beta 100.07
_cell_angle_gamma 90.00
loop_
_space_group_symop_operation_xyz
'x,y,z'
'-x,-y,-z'
'-x,y,-z'
'x,-y,z'
'x+1/2,y+1/2,z'
'-x+1/2,-y+1/2,-z'
'-x+1/2,y+1/2,-z'
'x+1/2,-y+1/2,z'
loop_
_atom_site_label
_atom_site_fract_x
_atom_site_fract_y
_atom_site_fract_z
Pm1 0.0000 0.0000 0.0000
Er1 0.2474 0.0000 0.7410
Er2 0.2467 0.3331 0.7410
Tm1 0.0000 0.3334 0.0000
Sc1 0.0000 0.1669 0.5000
Sc2 0.0000 0.5000 0.5000
```

***

[11]
Calculated X-ray diffraction stick pattern of Pm2Y6Er3Sc for copper Kα, from a GGA-PBE-relaxed structure.
Lines closer than 0.1° are merged.

Main lines, by angle (2θ = 15–90°):
(0 0 2), 2θ 15.3, intensity 5; (1 3 1), 2θ 30.9, intensity 100; (2 0 2), 2θ 35.9, intensity 50; (1 3 5), 2θ 51.6, intensity 35; (4 0 0), 2θ 61.4, intensity 38; (2 6 2), 2θ 64.4, intensity 12; (4 0 4), 2θ 76.0, intensity 5; (2 6 6), 2θ 84.2, intensity 8; (4 6 0), 2θ 84.3, intensity 8; (5 3 1), 2θ 87.0, intensity 11

Structure:
```
data_Pm2Y6Er3Sc
_space_group_name_H-M_alt 'C 1 2/m 1'
_space_group_IT_number 12
_cell_length_a 6.1343
_cell_length_b 10.6171
_cell_length_c 11.7559
_cell_angle_alpha 90.00
_cell_angle_beta 99.97
_cell_angle_gamma 90.00
loop_
_space_group_symop_operation_xyz
'x,y,z'
'-x,-y,-z'
'-x,y,-z'
'x,-y,z'
'x+1/2,y+1/2,z'
'-x+1/2,-y+1/2,-z'
'-x+1/2,y+1/2,-z'
'x+1/2,-y+1/2,z'
loop_
_atom_site_label
_atom_site_fract_x
_atom_site_fract_y
_atom_site_fract_z
Pm1 0.0000 0.1666 0.0000
Y1 0.2469 0.5000 0.7491
Y2 0.2487 0.3348 0.2506
Er1 0.0000 0.0000 0.5000
Er2 0.0000 0.3338 0.5000
Sc1 0.0000 0.5000 0.0000
```

***

[12]
Calculated X-ray diffraction stick pattern of PmYEr2Sc for copper Kα, from a GGA-PBE-relaxed structure.
Lines closer than 0.1° are merged.

Main lines, by angle (2θ = 15–90°):
(2 2 0), 2θ 27.1, intensity 96; (0 2 2), 2θ 29.9, intensity 100; (0 4 0), 2θ 31.9, intensity 53; (2 0 2), 2θ 33.6, intensity 81; (3 1 0), 2θ 34.0, intensity 23; (1 3 2), 2θ 36.7, intensity 25; (3 3 0), 2θ 41.1, intensity 29; (2 4 2), 2θ 47.0, intensity 56; (2 2 4), 2θ 59.3, intensity 22; (5 3 2), 2θ 68.1, intensity 27

Structure:
```
data_PmYEr2Sc
_space_group_name_H-M_alt 'C m c m'
_space_group_IT_number 63
_space_group_name_Hall '-C 2c 2'
_cell_length_a 8.1408
_cell_length_b 11.2322
_cell_length_c 7.0674
_cell_angle_alpha 90.00
_cell_angle_beta 90.00
_cell_angle_gamma 90.00
loop_
_atom_site_label
_atom_site_fract_x
_atom_site_fract_y
_atom_site_fract_z
Pm1 0.0000 0.2252 0.2500
Y1 0.0000 0.2379 0.7500
Er1 0.1970 0.0000 0.0000
Sc1 0.0000 0.4886 0.2500
```

***

[13]
Calculated X-ray diffraction stick pattern of Pm5YErSc2 for copper Kα, from a GGA-PBE-relaxed structure.
Lines closer than 0.1° are merged.

Main lines, by angle (2θ = 15–90°):
(1 1 0), 2θ 16.6, intensity 11; (0 2 3), 2θ 27.0, intensity 10; (0 6 1), 2θ 27.9, intensity 10; (1 1 3), 2θ 30.6, intensity 22; (2 0 0), 2θ 32.4, intensity 100; (0 0 4), 2θ 34.2, intensity 10; (1 7 1), 2θ 36.2, intensity 8; (2 0 4), 2θ 47.8, intensity 7; (0 6 5), 2θ 51.4, intensity 7; (3 5 2), 2θ 57.7, intensity 16

Structure:
```
data_Pm5YErSc2
_space_group_name_H-M_alt 'C m c 21'
_space_group_IT_number 36
_cell_length_a 5.5326
_cell_length_b 20.1582
_cell_length_c 10.4847
_cell_angle_alpha 90.00
_cell_angle_beta 90.00
_cell_angle_gamma 90.00
loop_
_space_group_symop_operation_xyz
'x,y,z'
'-x,-y,z+1/2'
'-x,y,z'
'x,-y,z+1/2'
'x+1/2,y+1/2,z'
'-x+1/2,-y+1/2,z+1/2'
'-x+1/2,y+1/2,z'
'x+1/2,-y+1/2,z+1/2'
loop_
_atom_site_label
_atom_site_fract_x
_atom_site_fract_y
_atom_site_fract_z
Pm1 0.0000 0.0121 0.0000
Pm2 0.0000 0.2759 0.3014
Pm3 0.0000 0.3010 0.6967
Pm4 0.0000 0.3820 0.0071
Pm5 0.0000 0.4816 0.7274
Y1 0.0000 0.1934 0.9999
Er1 0.0000 0.4080 0.4399
Sc1 0.0000 0.1123 0.2890
Sc2 0.0000 0.1132 0.7289
```